Fe5O7F3: simulated PXRD pattern (Cu Kα X-rays), based on a crystal structure in Alexandria, relaxed with GGA+U.
Peak positions follow from Bragg's law for the DFT cell and can differ from measured ones.

Top 12 peaks for 2θ = 5–70°, by angle:
hkl 2 0 0, 26.5°, I 96.5
hkl 0 2 0, 27.2°, I 94.3
hkl 1 1 -5, 35.3°, I 100.0
hkl 2 2 0, 38.3°, I 17.2
hkl 2 0 5, 40.1°, I 15.8
hkl 0 2 5, 40.6°, I 14.7
hkl 3 1 -5, 52.7°, I 55.7
hkl 1 3 -5, 53.6°, I 53.7
hkl 4 0 0, 54.5°, I 15.7
hkl 0 4 0, 56.2°, I 15.7
hkl 0 0 10, 61.4°, I 15.4
hkl 3 3 -5, 67.4°, I 37.1

Structural model:
```
data_Fe5O7F3
_chemical_formula_sum 'Fe20 O28 F12'
_symmetry_space_group_name_H-M 'C 1 2 1'
_symmetry_Int_Tables_number 5
_cell_length_a 6.7361
_cell_length_b 6.5466
_cell_length_c 15.0989
_cell_angle_alpha 90.00
_cell_angle_beta 90.01
_cell_angle_gamma 90.00
loop_
_symmetry_equiv_pos_as_xyz
'x,y,z'
'-x,y,-z'
'x+1/2,y+1/2,z'
'-x+1/2,y+1/2,-z'
loop_
_atom_site_label
_atom_site_fract_x
_atom_site_fract_y
_atom_site_fract_z
Fe1 0.0000 0.0000 0.0000
Fe2 0.0000 0.4946 0.5000
Fe3 0.0018 0.4973 0.2981
Fe4 0.0073 0.4695 0.9048
Fe5 0.0229 0.9947 0.5986
Fe6 0.0306 0.0010 0.2070
O1 0.0000 0.1886 0.5000
O2 0.0000 0.8013 0.5000
O3 0.0043 0.7995 0.3032
O4 0.0046 0.1940 0.3041
O5 0.0089 0.1779 0.1028
O6 0.1804 0.4922 0.8019
O7 0.1851 0.4960 0.3988
O8 0.1960 0.4887 0.0010
F1 0.0075 0.7889 0.1031
F2 0.2021 0.4961 0.5998
F3 0.2075 0.4916 0.1974
```